(1)
Calculated X-ray diffraction stick pattern
Compound: CrHgCl3
Radiation: Cu Kα, 1.54184 Å
Structure: a crystal structure in Alexandria, relaxed with GGA-PBE
Neutral-atom scattering factors, no anomalous dispersion.

Crystal structure
```
data_CrHgCl3
_symmetry_space_group_name_H-M 'R -3'
_symmetry_Int_Tables_number 148
_symmetry_space_group_name_Hall '-R 3'
_cell_length_a 6.0462
_cell_length_b 6.0462
_cell_length_c 29.1391
_cell_angle_alpha 90.00
_cell_angle_beta 90.00
_cell_angle_gamma 120.00
loop_
_atom_site_label
_atom_site_type_symbol
_atom_site_fract_x
_atom_site_fract_y
_atom_site_fract_z
Cr1 Cr 0.0000 0.0000 0.1667
Hg1 Hg 0.0000 0.0000 0.3354
Cl1 Cl 0.9999 0.3588 0.4540
```

Top 8 peaks for 10 to 80 degrees two-theta, in order of rising 2θ:
2θ 18.00, I = 58; 2θ 18.27, I = 59; 2θ 20.89, I = 46; 2θ 29.55, I = 41; 2θ 30.98, I = 67; 2θ 34.96, I = 100; 2θ 48.06, I = 47; 2θ 52.42, I = 24



(2)
Calculated X-ray diffraction stick pattern
Compound: CrHg2Cl
Radiation: Cu Kα, 1.54184 Å
Structure: a crystal structure in Alexandria, relaxed with GGA-PBE
Neutral-atom scattering factors, no anomalous dispersion.

Crystal structure
```
data_CrHg2Cl
_symmetry_space_group_name_H-M 'P 1'
_symmetry_Int_Tables_number 1
_cell_length_a 3.474
_cell_length_b 6.091
_cell_length_c 9.318
_cell_angle_alpha 99.53
_cell_angle_beta 90.10
_cell_angle_gamma 90.00
loop_
_symmetry_equiv_pos_as_xyz
'x,y,z'
loop_
_atom_site_label
_atom_site_type_symbol
_atom_site_fract_x
_atom_site_fract_y
_atom_site_fract_z
Cr1 Cr 0.000 0.000 0.000
Cr2 Cr 0.500 0.446 0.004
Hg1 Hg 0.001 0.491 0.497
Hg2 Hg 0.495 0.958 0.506
Hg3 Hg 0.501 0.197 0.241
Hg4 Hg 0.998 0.249 0.763
Cl1 Cl 0.001 0.681 0.151
Cl2 Cl 0.499 0.766 0.852
```

Top 8 peaks for 10 to 80 degrees two-theta, in order of rising 2θ:
2θ 14.75, I = 30; 2θ 32.07, I = 100; 2θ 32.83, I = 60; 2θ 38.42, I = 27; 2θ 39.21, I = 36; 2θ 40.24, I = 49; 2θ 52.24, I = 23; 2θ 63.48, I = 23



(3)
Calculated X-ray diffraction stick pattern
Compound: CrHg2Cl
Radiation: Cu Kα, 1.54184 Å
Structure: a crystal structure in Alexandria, relaxed with GGA-PBE
Neutral-atom scattering factors, no anomalous dispersion.

Crystal structure
```
data_CrHg2Cl
_symmetry_space_group_name_H-M 'P 4 m m'
_symmetry_Int_Tables_number 99
_cell_length_a 3.284
_cell_length_b 3.284
_cell_length_c 8.989
_cell_angle_alpha 90.00
_cell_angle_beta 90.00
_cell_angle_gamma 90.00
loop_
_symmetry_equiv_pos_as_xyz
'x,y,z'
'-y,x,z'
'-x,-y,z'
'y,-x,z'
'-x,y,z'
'y,x,z'
'x,-y,z'
'-y,-x,z'
loop_
_atom_site_label
_atom_site_type_symbol
_atom_site_fract_x
_atom_site_fract_y
_atom_site_fract_z
Cr1 Cr 0.000 0.000 0.000
Hg1 Hg 0.000 0.000 0.503
Hg2 Hg 0.500 0.500 0.219
Cl1 Cl 0.500 0.500 0.852
```

Top 8 peaks for 10 to 80 degrees two-theta, in order of rising 2θ:
2θ 28.94, I = 52; 2θ 29.82, I = 20; 2θ 33.80, I = 100; 2θ 38.78, I = 41; 2θ 40.11, I = 22; 2θ 49.67, I = 20; 2θ 57.02, I = 20; 2θ 67.04, I = 28



> Which formula does entry 1 have?

CrHgCl3